No. 1
Diffraction record for SeBr. The XRD peak list is computed, not measured: it uses a structure optimized by DFT (GGA-PBE) and Cu Kα X-rays.

Atomic structure:
```
data_SeBr
_symmetry_space_group_name_H-M 'A e a 2'
_symmetry_Int_Tables_number 41
_symmetry_space_group_name_Hall 'A 2 -2ab'
_cell_length_a 15.1122
_cell_length_b 7.1474
_cell_length_c 5.3693
_cell_angle_alpha 90.00
_cell_angle_beta 90.00
_cell_angle_gamma 90.00
loop_
_atom_site_label
_atom_site_fract_x
_atom_site_fract_y
_atom_site_fract_z
Se1 0.0487 0.1206 0.0000
Br1 0.1648 0.0595 0.7010
```

Most intense lines, 2θ = 10–90°, in order of falling intensity:
- 3.267 Å, intensity 100.0
- 4.130 Å, intensity 68.1
- 3.478 Å, intensity 35.1
- 2.836 Å, intensity 31.9
- 2.530 Å, intensity 28.3
- 1.750 Å, intensity 27.8
- 1.887 Å, intensity 27.0
- 3.733 Å, intensity 19.1
- 2.915 Å, intensity 17.9
- 3.574 Å, intensity 15.2

***

No. 2
Diffraction record for Se3Br. The XRD peak list is computed, not measured: it uses a structure optimized by DFT (GGA-PBE) and Cu Kα X-rays.

Atomic structure:
```
data_Se3Br
_symmetry_space_group_name_H-M 'I 4/m m m'
_symmetry_Int_Tables_number 139
_symmetry_space_group_name_Hall '-I 4 2'
_cell_length_a 3.8025
_cell_length_b 3.8025
_cell_length_c 16.9638
_cell_angle_alpha 90.00
_cell_angle_beta 90.00
_cell_angle_gamma 90.00
loop_
_atom_site_label
_atom_site_fract_x
_atom_site_fract_y
_atom_site_fract_z
Se1 0.0000 0.0000 0.0000
Se2 0.0000 0.5000 0.2500
Br1 0.0000 0.0000 0.5000
```

Most intense lines, 2θ = 10–90°, in order of falling intensity:
- 2.563 Å, intensity 100.0
- 4.241 Å, intensity 94.7
- 1.948 Å, intensity 43.8
- 1.735 Å, intensity 30.2
- 1.901 Å, intensity 20.3
- 1.191 Å, intensity 17.5
- 1.435 Å, intensity 16.0
- 1.135 Å, intensity 15.4
- 1.416 Å, intensity 15.3
- 1.107 Å, intensity 14.4

***

No. 3
Diffraction record for SeBr. The XRD peak list is computed, not measured: it uses a structure optimized by DFT (GGA-PBE) and Cu Kα X-rays.

Atomic structure:
```
data_SeBr
_symmetry_space_group_name_H-M 'P 1 21/c 1'
_symmetry_Int_Tables_number 14
_symmetry_space_group_name_Hall '-P 2ybc'
_cell_length_a 7.7020
_cell_length_b 15.2411
_cell_length_c 5.3182
_cell_angle_alpha 90.00
_cell_angle_beta 95.56
_cell_angle_gamma 90.00
loop_
_atom_site_label
_atom_site_fract_x
_atom_site_fract_y
_atom_site_fract_z
Se1 0.1017 0.1378 0.4544
Se2 0.2896 0.0513 0.6880
Br1 0.1657 0.6399 0.8401
Br2 0.4454 0.1435 0.0089
```

Most intense lines, 2θ = 10–90°, in order of falling intensity:
- 3.224 Å, intensity 100.0
- 3.810 Å, intensity 50.3
- 4.375 Å, intensity 45.0
- 3.186 Å, intensity 33.5
- 2.996 Å, intensity 32.5
- 1.930 Å, intensity 28.5
- 4.347 Å, intensity 24.8
- 2.085 Å, intensity 24.2
- 1.809 Å, intensity 16.5
- 4.023 Å, intensity 15.6

***

No. 4
Diffraction record for Ta3Se8Br6. The XRD peak list is computed, not measured: it uses a structure optimized by DFT (GGA-PBE) and Cu Kα X-rays.

Atomic structure:
```
data_Ta3Se8Br6
_symmetry_space_group_name_H-M 'P -1'
_symmetry_Int_Tables_number 2
_symmetry_space_group_name_Hall '-P 1'
_cell_length_a 7.7303
_cell_length_b 11.5481
_cell_length_c 13.0401
_cell_angle_alpha 71.44
_cell_angle_beta 79.72
_cell_angle_gamma 82.76
loop_
_atom_site_label
_atom_site_fract_x
_atom_site_fract_y
_atom_site_fract_z
Ta1 0.0014 0.4984 0.1251
Ta2 0.0024 0.4977 0.3764
Ta3 0.3994 0.0003 0.7455
Se1 0.0019 0.6953 0.4419
Se2 0.0602 0.3063 0.0466
Se3 0.2121 0.6162 0.7031
Se4 0.2135 0.6125 0.1885
Se5 0.2404 0.3961 0.7460
Se6 0.2515 0.3942 0.2607
Se7 0.2584 0.5575 0.4572
Se8 0.2734 0.4537 0.9827
Br1 0.1353 0.1062 0.8377
Br2 0.1915 0.9229 0.6550
Br3 0.3325 0.0974 0.3457
Br4 0.3609 0.8044 0.9053
Br5 0.4032 0.9228 0.1622
Br6 0.4199 0.1919 0.5799
```

Most intense lines, 2θ = 10–90°, in order of falling intensity:
- 6.458 Å, intensity 100.0
- 6.025 Å, intensity 81.5
- 5.459 Å, intensity 60.8
- 2.780 Å, intensity 27.0
- 2.056 Å, intensity 22.3
- 2.697 Å, intensity 21.7
- 7.585 Å, intensity 19.4
- 1.892 Å, intensity 16.3
- 2.141 Å, intensity 16.1
- 3.017 Å, intensity 15.9

***

No. 5
Diffraction record for Tl5Se2Br. The XRD peak list is computed, not measured: it uses a structure optimized by DFT (GGA-PBE) and Cu Kα X-rays.

Atomic structure:
```
data_Tl5Se2Br
_symmetry_space_group_name_H-M 'I 4/m c m'
_symmetry_Int_Tables_number 140
_symmetry_space_group_name_Hall '-I 4 2c'
_cell_length_a 8.7988
_cell_length_b 8.7988
_cell_length_c 13.4745
_cell_angle_alpha 90.00
_cell_angle_beta 90.00
_cell_angle_gamma 90.00
loop_
_atom_site_label
_atom_site_fract_x
_atom_site_fract_y
_atom_site_fract_z
Tl1 0.0000 0.0000 0.0000
Tl2 0.1469 0.3531 0.1416
Se1 0.1584 0.3416 0.5000
Br1 0.0000 0.0000 0.2500
```

Most intense lines, 2θ = 10–90°, in order of falling intensity:
- 2.960 Å, intensity 100.0
- 2.782 Å, intensity 49.5
- 3.777 Å, intensity 22.0
- 1.535 Å, intensity 18.1
- 1.842 Å, intensity 14.4
- 1.766 Å, intensity 11.5
- 2.675 Å, intensity 11.5
- 1.729 Å, intensity 9.0
- 1.441 Å, intensity 9.0
- 1.747 Å, intensity 8.6

***

No. 6
Diffraction record for Tb4SiBr6. The XRD peak list is computed, not measured: it uses a structure optimized by DFT (GGA-PBE) and Cu Kα X-rays.

Atomic structure:
```
data_Tb4SiBr6
_symmetry_space_group_name_H-M 'P b a m'
_symmetry_Int_Tables_number 55
_symmetry_space_group_name_Hall '-P 2 2ab'
_cell_length_a 13.3126
_cell_length_b 14.0829
_cell_length_c 4.0792
_cell_angle_alpha 90.00
_cell_angle_beta 90.00
_cell_angle_gamma 90.00
loop_
_atom_site_label
_atom_site_fract_x
_atom_site_fract_y
_atom_site_fract_z
Tb1 0.1180 0.0782 0.0000
Tb2 0.1184 0.8409 0.5000
Si1 0.0000 0.0000 0.5000
Br1 0.0015 0.7435 0.0000
Br2 0.2437 0.6623 0.5000
Br3 0.2449 0.4114 0.0000
```

Most intense lines, 2θ = 10–90°, in order of falling intensity:
- 2.761 Å, intensity 100.0
- 3.377 Å, intensity 40.1
- 2.034 Å, intensity 33.9
- 2.125 Å, intensity 30.2
- 3.116 Å, intensity 29.8
- 1.289 Å, intensity 21.3
- 2.795 Å, intensity 18.6
- 2.040 Å, intensity 18.0
- 2.421 Å, intensity 15.5
- 3.526 Å, intensity 15.1